SrMg2: theoretical powder X-ray diffraction pattern (copper Kα), based on DFT lattice parameters and positions (PBE).
Lines closer than 0.1° are merged.

Top 10 peaks for 5° ≤ 2θ ≤ 70°, by angle:
| 2θ (°) | I/Imax |
| --- | --- |
| 17.4 | 72.4 |
| 19.1 | 48.2 |
| 19.7 | 30.2 |
| 29.2 | 63.2 |
| 30.1 | 77.5 |
| 32.5 | 89.9 |
| 32.9 | 100.0 |
| 33.6 | 82.1 |
| 51.8 | 31.7 |
| 62.6 | 32.2 |

Cell and atoms:
```
SrMg2
1.0
5.2854 -3.0618 0.0000
5.2854 3.0618 0.0000
-3.2505 0.0000 5.9335
Sr Mg
2 4
Cartesian
2.8475 2.4775 4.4502
4.4728 -2.4775 1.4834
2.7332 0.5034 1.4953
1.1079 -0.5034 4.4621
6.2124 0.5034 1.4714
4.5871 -0.5034 4.4382
```